# 1
Calculated XRD peak list of SmSbAsO for Cu Ka, from a cell relaxed with GGA-PBE.
Intensities are scaled so that the largest is 100.

Largest 10 diffraction maxima, in order of rising 2θ, 10 to 80 degrees two-theta:
hkl 1 1 0, 23.9°, intensity 31
hkl 0 0 2, 26.5°, intensity 26
hkl 1 1 1, 27.4°, intensity 100
hkl 0 2 0, 28.2°, intensity 35
hkl 1 0 2, 33.0°, intensity 62
hkl 1 2 1, 37.0°, intensity 37
hkl 2 0 0, 39.2°, intensity 37
hkl 0 1 3, 42.8°, intensity 26
hkl 1 2 2, 44.0°, intensity 26
hkl 1 3 0, 47.4°, intensity 30

Structure:
```
data_SmSbAsO
_chemical_formula_sum 'Sm2 Sb2 As2 O2'
_cell_length_a 4.5951
_cell_length_b 6.3325
_cell_length_c 6.7224
_cell_angle_alpha 90.00
_cell_angle_beta 90.00
_cell_angle_gamma 90.00
_symmetry_space_group_name_H-M 'P m c 21'
_symmetry_Int_Tables_number 26
loop_
_symmetry_equiv_pos_as_xyz
'x,y,z'
'-x,-y,z+1/2'
'-x,y,z'
'x,-y,z+1/2'
loop_
_atom_site_label
_atom_site_type_symbol
_atom_site_fract_x
_atom_site_fract_y
_atom_site_fract_z
Sm1 Sm 0.0000 0.1567 0.0000
Sb1 Sb 0.5000 0.2392 0.3683
As1 As 0.5000 0.3302 0.7841
O1 O 0.0000 0.1549 0.3394
```

=====

# 2
Calculated XRD peak list of GdSc for Cu Ka, from a cell relaxed with GGA-PBE.
Intensities are scaled so that the largest is 100.

Largest 10 diffraction maxima, in order of rising 2θ, 10 to 80 degrees two-theta:
hkl 0 0 1, 16.4°, intensity 35
hkl 1 0 0, 29.8°, intensity 41
hkl 0 0 2, 33.1°, intensity 22
hkl 1 0 1, 34.1°, intensity 100
hkl 1 0 2, 45.1°, intensity 27
hkl 1 1 0, 52.8°, intensity 17
hkl 1 1 1, 55.7°, intensity 10
hkl 1 0 3, 59.8°, intensity 20
hkl 1 1 2, 63.8°, intensity 19
hkl 2 0 1, 64.4°, intensity 15

Structure:
```
data_GdSc
_chemical_formula_sum 'Gd1 Sc1'
_cell_length_a 3.4658
_cell_length_b 3.4658
_cell_length_c 5.4189
_cell_angle_alpha 90.00
_cell_angle_beta 90.00
_cell_angle_gamma 120.00
_symmetry_space_group_name_H-M 'P -6 m 2'
_symmetry_Int_Tables_number 187
_symmetry_space_group_name_Hall 'P -6 2'
loop_
_atom_site_label
_atom_site_type_symbol
_atom_site_fract_x
_atom_site_fract_y
_atom_site_fract_z
Gd1 Gd 0.0000 0.0000 0.0000
Sc1 Sc 0.6667 0.3333 0.5000
```

=====

# 3
Calculated XRD peak list of Mg4Bi4Pt5 for Cu Ka, from a cell relaxed with GGA-PBE.
Intensities are scaled so that the largest is 100.

Largest 10 diffraction maxima, in order of rising 2θ, 10 to 80 degrees two-theta:
hkl 1 0 4, 23.5°, intensity 58
hkl 1 0 13, 34.1°, intensity 3
hkl 1 1 0, 38.9°, intensity 100
hkl 0 1 20, 46.0°, intensity 30
hkl 0 2 16, 56.2°, intensity 17
hkl 2 0 20, 61.7°, intensity 10
hkl 1 0 28, 61.8°, intensity 3
hkl 3 0 0, 70.4°, intensity 27
hkl 0 1 32, 70.6°, intensity 8
hkl 1 2 20, 75.4°, intensity 7

Structure:
```
data_Mg4Bi4Pt5
_chemical_formula_sum 'Mg12 Bi12 Pt15'
_cell_length_a 4.6347
_cell_length_b 4.6347
_cell_length_c 45.2953
_cell_angle_alpha 90.00
_cell_angle_beta 90.00
_cell_angle_gamma 120.00
_symmetry_space_group_name_H-M 'R 3 m'
_symmetry_Int_Tables_number 160
_symmetry_space_group_name_Hall 'R 3 -2"'
loop_
_atom_site_label
_atom_site_type_symbol
_atom_site_fract_x
_atom_site_fract_y
_atom_site_fract_z
Mg1 Mg 0.0000 0.0000 0.0000
Mg2 Mg 0.0000 0.0000 0.2469
Mg3 Mg 0.0000 0.0000 0.4961
Mg4 Mg 0.0000 0.0000 0.7472
Bi1 Bi 0.0000 0.0000 0.1228
Bi2 Bi 0.0000 0.0000 0.3750
Bi3 Bi 0.0000 0.0000 0.6251
Bi4 Bi 0.0000 0.0000 0.8701
Pt1 Pt 0.0000 0.0000 0.0607
Pt2 Pt 0.0000 0.0000 0.3141
Pt3 Pt 0.0000 0.0000 0.5602
Pt4 Pt 0.0000 0.0000 0.8082
Pt5 Pt 0.0000 0.0000 0.9333
```

=====

# 4
Calculated XRD peak list of KNaGdOsO5 for Cu Ka, from a cell relaxed with GGA-PBE.
Intensities are scaled so that the largest is 100.

Largest 10 diffraction maxima, in order of rising 2θ, 10 to 80 degrees two-theta:
hkl 0 0 1, 11.1°, intensity 33
hkl 1 0 1, 19.2°, intensity 46
hkl 1 1 1, 24.9°, intensity 9
hkl 1 1 2, 31.6°, intensity 100
hkl 2 1 1, 37.2°, intensity 21
hkl 1 1 3, 40.6°, intensity 10
hkl 2 2 0, 45.3°, intensity 26
hkl 2 0 4, 56.3°, intensity 41
hkl 4 0 0, 66.0°, intensity 13
hkl 3 3 2, 75.0°, intensity 11

Structure:
```
data_KNaGdOsO5
_chemical_formula_sum 'K2 Na2 Gd2 Os2 O10'
_cell_length_a 5.6654
_cell_length_b 5.6654
_cell_length_c 8.0009
_cell_angle_alpha 90.00
_cell_angle_beta 90.00
_cell_angle_gamma 90.00
_symmetry_space_group_name_H-M 'P 4/n m m'
_symmetry_Int_Tables_number 129
loop_
_symmetry_equiv_pos_as_xyz
'x,y,z'
'-x,-y,-z'
'-y+1/2,x,z'
'y+1/2,-x,-z'
'-x+1/2,-y+1/2,z'
'x+1/2,y+1/2,-z'
'y,-x+1/2,z'
'-y,x+1/2,-z'
'x+1/2,-y,-z'
'-x+1/2,y,z'
'-y,-x,-z'
'y,x,z'
'-x,y+1/2,-z'
'x,-y+1/2,z'
'y+1/2,x+1/2,-z'
'-y+1/2,-x+1/2,z'
loop_
_atom_site_label
_atom_site_type_symbol
_atom_site_fract_x
_atom_site_fract_y
_atom_site_fract_z
K1 K 0.2500 0.7500 0.0000
Na1 Na 0.2500 0.2500 0.2306
Gd1 Gd 0.2500 0.7500 0.5000
Os1 Os 0.2500 0.2500 0.7245
O1 O 0.0116 0.0116 0.6719
O2 O 0.2500 0.2500 0.9577
```

=====

# 5
Calculated XRD peak list of Rb2YErS4 for Cu Ka, from a cell relaxed with GGA-PBE.
Intensities are scaled so that the largest is 100.

Largest 10 diffraction maxima, in order of rising 2θ, 10 to 80 degrees two-theta:
hkl 0 0 2, 11.5°, intensity 23
hkl 0 0 4, 23.2°, intensity 28
hkl 0 1 2, 28.0°, intensity 100
hkl 1 0 3, 30.9°, intensity 57
hkl 1 0 4, 34.6°, intensity 27
hkl 1 0 6, 43.8°, intensity 46
hkl 1 1 0, 44.8°, intensity 42
hkl 1 1 4, 51.0°, intensity 21
hkl 2 0 2, 53.6°, intensity 16
hkl 1 1 8, 67.2°, intensity 16

Structure:
```
data_Rb2YErS4
_chemical_formula_sum 'Rb2 Y1 Er1 S4'
_cell_length_a 4.0499
_cell_length_b 4.0499
_cell_length_c 15.3492
_cell_angle_alpha 90.00
_cell_angle_beta 90.00
_cell_angle_gamma 120.00
_symmetry_space_group_name_H-M 'P -3 m 1'
_symmetry_Int_Tables_number 164
_symmetry_space_group_name_Hall '-P 3 2"'
loop_
_atom_site_label
_atom_site_type_symbol
_atom_site_fract_x
_atom_site_fract_y
_atom_site_fract_z
Rb1 Rb 0.3333 0.6667 0.2499
Y1 Y 0.0000 0.0000 0.5000
Er1 Er 0.0000 0.0000 0.0000
S1 S 0.3333 0.6667 0.5969
S2 S 0.3333 0.6667 0.9049
```

=====

# 6
Calculated XRD peak list of Hf3TaC4 for Cu Ka, from a cell relaxed with GGA-PBE.
Intensities are scaled so that the largest is 100.

Largest 5 diffraction maxima, in order of rising 2θ, 10 to 80 degrees two-theta:
hkl 2 2 0, 33.8°, intensity 100
hkl 2 0 1, 39.2°, intensity 64
hkl 4 0 0, 56.6°, intensity 43
hkl 4 2 1, 67.6°, intensity 43
hkl 4 4 0, 71.0°, intensity 15

Structure:
```
data_Hf3TaC4
_chemical_formula_sum 'Hf6 Ta2 C8'
_cell_length_a 6.5033
_cell_length_b 9.1861
_cell_length_c 3.2509
_cell_angle_alpha 90.00
_cell_angle_beta 90.00
_cell_angle_gamma 90.00
_symmetry_space_group_name_H-M 'C m m m'
_symmetry_Int_Tables_number 65
_symmetry_space_group_name_Hall '-C 2 2'
loop_
_atom_site_label
_atom_site_type_symbol
_atom_site_fract_x
_atom_site_fract_y
_atom_site_fract_z
Hf1 Hf 0.0000 0.0000 0.0000
Hf2 Hf 0.2500 0.2500 0.5000
Ta1 Ta 0.0000 0.5000 0.0000
C1 C 0.0000 0.2537 0.0000
C2 C 0.2434 0.5000 0.5000
```

=====

# 7
Calculated XRD peak list of Gd2ErCd4In2 for Cu Ka, from a cell relaxed with GGA-PBE.
Intensities are scaled so that the largest is 100.

Largest 10 diffraction maxima, in order of rising 2θ, 10 to 80 degrees two-theta:
hkl 1 0 2, 30.6°, intensity 36
hkl 1 3 1, 30.8°, intensity 76
hkl 1 2 2, 33.7°, intensity 100
hkl 1 4 0, 33.8°, intensity 51
hkl 0 1 3, 36.5°, intensity 22
hkl 0 4 2, 36.6°, intensity 20
hkl 2 0 0, 39.0°, intensity 48
hkl 0 3 3, 41.7°, intensity 26
hkl 2 1 3, 54.5°, intensity 22
hkl 2 4 2, 54.6°, intensity 24

Structure:
```
data_Gd2ErCd4In2
_chemical_formula_sum 'Gd4 Er2 Cd8 In4'
_cell_length_a 4.6225
_cell_length_b 12.9294
_cell_length_c 7.5274
_cell_angle_alpha 90.00
_cell_angle_beta 90.00
_cell_angle_gamma 90.00
_symmetry_space_group_name_H-M 'A m m 2'
_symmetry_Int_Tables_number 38
loop_
_symmetry_equiv_pos_as_xyz
'x,y,z'
'-x,-y,z'
'-x,y,z'
'x,-y,z'
'x,y+1/2,z+1/2'
'-x,-y+1/2,z+1/2'
'-x,y+1/2,z+1/2'
'x,-y+1/2,z+1/2'
loop_
_atom_site_label
_atom_site_type_symbol
_atom_site_fract_x
_atom_site_fract_y
_atom_site_fract_z
Gd1 Gd 0.0000 0.2131 0.0000
Er1 Er 0.0000 0.0000 0.3594
Cd1 Cd 0.0000 0.0000 0.7818
Cd2 Cd 0.5000 0.0000 0.0270
Cd3 Cd 0.5000 0.1215 0.6644
In1 In 0.5000 0.1654 0.2864
```

=====

# 8
Calculated XRD peak list of Rb2NaAgI6 for Cu Ka, from a cell relaxed with GGA-PBE.
Intensities are scaled so that the largest is 100.

Largest 10 diffraction maxima, in order of rising 2θ, 10 to 80 degrees two-theta:
hkl 1 0 0, 14.5°, intensity 27
hkl 1 1 1, 21.5°, intensity 16
hkl 1 1 3, 27.9°, intensity 33
hkl 2 0 0, 29.2°, intensity 68
hkl 2 0 1, 29.9°, intensity 20
hkl 1 1 4, 32.5°, intensity 100
hkl 2 2 0, 41.8°, intensity 25
hkl 0 0 8, 51.0°, intensity 18
hkl 3 1 4, 53.9°, intensity 52
hkl 2 0 8, 59.9°, intensity 16

Structure:
```
data_Rb2NaAgI6
_chemical_formula_sum 'Rb2 Na1 Ag1 I6'
_cell_length_a 6.1126
_cell_length_b 6.1126
_cell_length_c 14.3106
_cell_angle_alpha 90.00
_cell_angle_beta 90.00
_cell_angle_gamma 90.00
_symmetry_space_group_name_H-M 'P 4/m m m'
_symmetry_Int_Tables_number 123
_symmetry_space_group_name_Hall '-P 4 2'
loop_
_atom_site_label
_atom_site_type_symbol
_atom_site_fract_x
_atom_site_fract_y
_atom_site_fract_z
Rb1 Rb 0.0000 0.0000 0.2497
Na1 Na 0.5000 0.5000 0.0000
Ag1 Ag 0.5000 0.5000 0.5000
I1 I 0.0000 0.0000 0.0000
I2 I 0.0000 0.0000 0.5000
I3 I 0.0000 0.5000 0.3669
```